This entry pairs a crystal structure of Mg2VIn3S8 with its computed X-ray diffraction stick pattern. Radiation: a wavelength of 1.5418 Å. Structure: a crystal structure in the Materials Project, relaxed with PBE.
Kinematic intensities with the Lorentz-polarization factor, no thermal factor.

Cell: 7.554 7.574 7.606 Å, 60.37 60.46 60.51°
Space group P-1 (No. 2)
One atom of each set of equivalent atoms:
Mg  0.124  0.124  0.124 [2 per cell]
V  0.500  0.500  0.500 [1 per cell]
In  0.000  0.500  0.500 [1 per cell]
In  0.500  0.000  0.500 [1 per cell]
In  0.500  0.500  0.000 [1 per cell]
S  0.257  0.256  0.258 [2 per cell]
S  0.269  0.270  0.725 [2 per cell]
S  0.269  0.724  0.269 [2 per cell]
S  0.276  0.731  0.731 [2 per cell]

Main lines, low angle first (2θ = 10–90°):
- 14.23°, 6.222 Å, I = 84, (1 0 0)
- 14.36°, 6.166 Å, I = 65, (1 1 1)
- 27.43°, 3.252 Å, I = 100, (1 1 -1)
- 27.57°, 3.235 Å, I = 42, (1 2 2)
- 33.28°, 2.692 Å, I = 98, (2 0 2)
- 33.43°, 2.681 Å, I = 48, (2 2 0)
- 43.69°, 2.072 Å, I = 25, (1 3 3)
- 47.68°, 1.907 Å, I = 66, (2 0 -2)
- 47.84°, 1.901 Å, I = 22, (2 2 4)
- 48.05°, 1.893 Å, I = 22, (2 4 2)